Rb3Tl4Pd: simulated X-ray diffraction stick pattern (a wavelength of 1.5418 Å), based on a structure optimized by DFT (PBE).
Intensities are scaled so that the largest is 100.

Crystal structure
```
Rb3Tl4Pd
1.0
6.8352 0.0000 0.0000
0.0000 8.2015 0.0000
0.0000 0.0000 11.0919
Rb Tl Pd
6 8 2
Cartesian
0.0000 0.0000 0.0000 Rb
0.0000 1.9142 7.0643 Rb
0.0000 6.2874 7.0643 Rb
3.4176 2.1866 1.5183 Rb
3.4176 4.1008 5.5460 Rb
3.4176 6.0149 1.5183 Rb
0.0000 2.5103 3.3247 Tl
0.0000 5.6912 3.3247 Tl
1.6076 4.1008 9.8111 Tl
1.8100 0.0000 4.2651 Tl
3.4176 1.5905 8.8706 Tl
3.4176 6.6110 8.8706 Tl
5.0252 0.0000 4.2651 Tl
5.2276 4.1008 9.8111 Tl
0.0000 4.1008 1.0327 Pd
3.4176 0.0000 6.5786 Pd
```

Largest 12 diffraction maxima, sorted by position, 2θ from 5° to 70°:
d [Å], 2θ/deg, Rel. int., h k l
6.595, 13.43, 76, 0 1 1
5.819, 15.23, 60, 1 0 1
5.546, 15.98, 51, 0 0 2
3.352, 26.59, 75, 1 2 1
3.297, 27.04, 55, 0 2 2
3.252, 27.43, 62, 1 0 3
3.034, 29.44, 100, 2 1 1
2.910, 30.73, 36, 2 0 2
2.654, 33.77, 52, 0 3 1
2.625, 34.15, 48, 2 2 0
2.548, 35.22, 47, 1 2 3
2.373, 37.92, 60, 2 2 2